No. 1
Structure and theoretical X-ray diffraction stick pattern of Ac3Sb2As (the GGA-PBE geometry in Alexandria; a wavelength of 1.5418 Å).

Atomic structure:
Lattice parameters (Å, degrees): 9.4455 13.3489 28.2717 90.00 90.00 90.00
Space group Fddd (No. 70, origin choice 2)
Symmetry-distinct sites (fractional):
Ac  0.1135  0.3750  0.3750 [16 per cell]
Ac  0.1200  0.3699  0.2107 [32 per cell]
Sb  0.1250  0.1250  0.3760 [16 per cell]
Sb  0.1250  0.1250  0.5430 [16 per cell]
As  0.1250  0.1250  0.0416 [16 per cell]

The 10 most intense peaks (10° ≤ 2θ ≤ 80°), in order of rising 2θ:
| h k l | 2θ/deg | d (Å) | I (rel.) |
| --- | --- | --- | --- |
| 0 2 6 | 23.09 | 3.852 | 22 |
| 0 4 0 | 26.72 | 3.336 | 100 |
| 2 4 6 | 38.15 | 2.359 | 78 |
| 0 6 6 | 45.06 | 2.012 | 12 |
| 0 4 12 | 47.19 | 1.926 | 28 |
| 0 8 0 | 55.05 | 1.668 | 13 |
| 2 8 6 | 62.21 | 1.492 | 31 |
| 2 0 18 | 62.30 | 1.490 | 6 |
| 0 8 12 | 68.91 | 1.363 | 18 |
| 2 4 18 | 69.01 | 1.361 | 9 |



No. 2
Structure and theoretical X-ray diffraction stick pattern of Nb3V2W2 (the GGA-PBE geometry in Alexandria; a wavelength of 1.5418 Å).

Atomic structure:
Lattice parameters (Å, degrees): 10.1131 3.1788 7.1946 90.00 99.02 90.00
Space group C2/m (No. 12)
Symmetry-distinct sites (fractional):
Nb  0.0000  0.0000  0.0000 [2 per cell]
Nb  0.1377  0.0000  0.4274 [4 per cell]
V  0.0774  0.5000  0.7159 [4 per cell]
W  0.2187  0.5000  0.1416 [4 per cell]

The 10 most intense peaks (10° ≤ 2θ ≤ 80°), in order of rising 2θ:
| h k l | 2θ/deg | d (Å) | I (rel.) |
| --- | --- | --- | --- |
| 0 0 1 | 12.46 | 7.105 | 16 |
| 2 0 0 | 17.76 | 4.994 | 20 |
| 2 0 -3 | 39.47 | 2.283 | 35 |
| 3 1 -1 | 39.88 | 2.260 | 67 |
| 1 1 2 | 40.05 | 2.251 | 100 |
| 2 0 4 | 57.75 | 1.597 | 12 |
| 5 1 -4 | 71.77 | 1.315 | 12 |
| 1 1 -5 | 72.05 | 1.311 | 11 |
| 2 2 -3 | 72.46 | 1.304 | 11 |
| 4 2 1 | 72.90 | 1.298 | 22 |



No. 3
Structure and theoretical X-ray diffraction stick pattern of AcThB12 (the GGA-PBE geometry in Alexandria; a wavelength of 1.5418 Å).

Atomic structure:
Lattice parameters (Å, degrees): 4.1542 4.1542 8.3220 90.00 90.00 90.00
Space group P4/mmm (No. 123)
Symmetry-distinct sites (fractional):
Ac  0.0000  0.0000  0.0000 [1 per cell]
Th  0.0000  0.0000  0.5000 [1 per cell]
B  0.1987  0.5000  0.2530 [8 per cell]
B  0.5000  0.5000  0.1012 [2 per cell]
B  0.5000  0.5000  0.4020 [2 per cell]

The 10 most intense peaks (10° ≤ 2θ ≤ 80°), in order of rising 2θ:
| h k l | 2θ/deg | d (Å) | I (rel.) |
| --- | --- | --- | --- |
| 1 0 0 | 21.38 | 4.156 | 80 |
| 1 1 0 | 30.41 | 2.939 | 100 |
| 1 1 2 | 37.48 | 2.400 | 42 |
| 2 0 0 | 43.55 | 2.078 | 21 |
| 2 1 0 | 49.01 | 1.859 | 53 |
| 2 1 2 | 54.04 | 1.697 | 33 |
| 2 2 0 | 63.28 | 1.470 | 11 |
| 2 1 4 | 67.60 | 1.386 | 18 |
| 2 2 2 | 67.65 | 1.385 | 11 |
| 3 1 0 | 71.86 | 1.314 | 13 |